Np2Ni4Ge3Sb: computed powder X-ray diffraction pattern (λ = 1.5418 Å (Cu Kα)), based on a structure optimized by DFT (GGA-PBE).
Neutral-atom scattering factors, no anomalous dispersion.

Crystal structure
a = 4.2078 Å, b = 4.2078 Å, c = 9.6299 Å
α = 90.00°, β = 90.00°, γ = 90.00°
Positions (direct):
Np: 0.0000 0.5000 0.2350
Np: 0.5000 0.0000 0.7650
Ni: 0.0000 0.0000 0.0000
Ni: 0.0000 0.5000 0.6339
Ni: 0.5000 0.0000 0.3661
Ni: 0.5000 0.5000 0.0000
Ge: 0.0000 0.5000 0.8749
Ge: 0.5000 0.0000 0.1251
Ge: 0.5000 0.5000 0.5000
Sb: 0.0000 0.0000 0.5000

Top 10 peaks for 2θ from 10° to 80°, in order of falling intensity:
h k l, 2θ (°), I_rel
1 1 2, 35.47, 100
1 0 3, 35.16, 64
2 0 0, 42.99, 53
2 1 3, 56.70, 33
1 0 1, 23.07, 30
3 1 2, 73.89, 24
1 0 5, 52.23, 22
1 1 0, 30.03, 21
2 1 5, 69.89, 18
2 2 0, 62.42, 17